This entry pairs a crystal structure of TbUHg with its calculated X-ray diffraction stick pattern. Radiation: Cu Ka. Structure: the GGA-PBE geometry in OQMD.
No peak broadening, texture or thermal motion is included.

Cell lengths 7.122, 7.122, 7.122 Å; angles 90.00, 90.00, 90.00 degrees
Space group F-43m (No. 216)
Asymmetric unit:
Tb 0.000 0.000 0.000 (multiplicity 4)
U 0.250 0.250 0.750 (multiplicity 4)
Hg 0.000 0.000 0.500 (multiplicity 4)

Top 10 peaks for 2θ from 10° to 90°, by intensity:
two_theta	I_rel	h k l
35.7	100	2 2 0
64.0	38	4 2 2
21.6	36	1 1 1
42.1	20	3 1 1
51.3	18	4 0 0
86.4	18	6 2 0
75.5	12	4 4 0
56.3	9	3 3 1
79.6	7	5 3 1
68.4	7	5 1 1


This entry pairs a crystal structure of Tb5Zn4Hg with its calculated X-ray diffraction stick pattern. Radiation: Cu Ka. Structure: the GGA-PBE geometry in OQMD.
No peak broadening, texture or thermal motion is included.

Cell lengths 3.593, 3.593, 18.191 Å; angles 90.00, 90.00, 90.00 degrees
Space group P4/mmm (No. 123)
Asymmetric unit:
Tb 0.000 0.000 0.000 (multiplicity 1)
Tb 0.000 0.000 0.195 (multiplicity 2)
Tb 0.000 0.000 0.389 (multiplicity 2)
Zn 0.500 0.500 0.098 (multiplicity 2)
Zn 0.500 0.500 0.292 (multiplicity 2)
Hg 0.500 0.500 0.500 (multiplicity 1)

Top 10 peaks for 2θ from 10° to 90°, by intensity:
two_theta	I_rel	h k l
35.1	100	1 0 5
35.3	51	1 1 0
63.3	36	2 1 5
50.8	18	2 0 0
62.8	17	1 1 10
74.2	10	2 0 10
50.2	9	0 0 10
85.5	8	3 1 0
85.3	8	3 0 5
24.8	7	1 0 0


This entry pairs a crystal structure of HgTe with its calculated X-ray diffraction stick pattern. Radiation: Cu Ka. Structure: the GGA-PBE geometry in OQMD.
No peak broadening, texture or thermal motion is included.

Cell lengths 4.665, 4.665, 6.568 Å; angles 90.00, 90.00, 90.00 degrees
Space group I-4m2 (No. 119)
Asymmetric unit:
Hg 0.000 0.000 0.000 (multiplicity 2)
Te 0.000 0.500 0.750 (multiplicity 2)

Top 10 peaks for 2θ from 10° to 90°, by intensity:
two_theta	I_rel	h k l
23.4	100	1 0 1
38.7	78	2 0 0
45.6	35	2 1 1
69.9	19	3 1 2
45.8	17	1 0 3
61.4	14	2 1 3
70.1	9	2 0 4
55.7	9	2 2 0
74.8	8	3 2 1
61.3	7	3 0 1